# Tb4TlAu
Simulated powder diffractogram, Cu Kα, 1.54184 Å. Input: DFT lattice parameters and positions (PBE).

Main lines, most intense first (2θ from 10° to 80°):
d [Å], Rel. int.
2.736, 100
2.719, 42
2.845, 35
2.455, 33
2.708, 31
1.471, 23
1.466, 18
2.003, 16
3.501, 16
1.750, 15

Atomic structure:
abc: 5.456 7.002 8.855
angles: 90.00 96.97 90.00
Space group P2_1/m (No. 11)
Asymmetric unit:
Tb: 0.177 0.250 0.063 x2
Tb: 0.220 0.750 0.384 x2
Tb: 0.307 0.510 0.747 x4
Tl: 0.237 0.250 0.422 x2
Au: 0.332 0.750 0.060 x2

***

# Tb2TmAu6
Simulated powder diffractogram, Cu Kα, 1.54184 Å. Input: DFT lattice parameters and positions (PBE).

Main lines, most intense first (2θ from 10° to 80°):
d [Å], Rel. int.
2.352, 100
2.691, 72
2.603, 60
2.499, 51
2.202, 40
2.042, 26
1.479, 24
1.465, 23
1.736, 21
1.504, 11

Atomic structure:
abc: 5.255 16.146 5.231
angles: 90.00 119.61 90.00
Space group C2/m (No. 12)
Asymmetric unit:
Tb: 0.000 0.165 0.000 x4
Tm: 0.000 0.500 0.500 x2
Au: 0.157 0.000 0.827 x4
Au: 0.163 0.335 0.333 x8

***

# TbZn2Au2
Simulated powder diffractogram, Cu Kα, 1.54184 Å. Input: DFT lattice parameters and positions (PBE).

Main lines, most intense first (2θ from 10° to 80°):
d [Å], Rel. int.
2.519, 100
2.531, 60
1.535, 44
1.936, 43
2.739, 40
3.873, 32
1.920, 30
2.112, 27
1.363, 20
1.369, 14

Atomic structure:
abc: 3.873 3.873 6.632
angles: 90.00 90.00 90.00
Space group P4/mmm (No. 123)
Asymmetric unit:
Tb: 0.000 0.000 0.000 x1
Zn: 0.000 0.500 0.500 x2
Au: 0.500 0.500 0.212 x2

***

# Tb3Zn9Au2
Simulated powder diffractogram, Cu Kα, 1.54184 Å. Input: DFT lattice parameters and positions (PBE).

Main lines, most intense first (2θ from 10° to 80°):
d [Å], Rel. int.
2.547, 100
2.466, 40
2.182, 38
2.306, 31
2.199, 22
2.258, 21
2.525, 21
1.549, 18
1.635, 17
1.320, 15

Atomic structure:
abc: 4.364 8.943 13.195
angles: 90.00 90.00 90.00
Space group Immm (No. 71)
Asymmetric unit:
Tb: 0.000 0.000 0.000 x2
Tb: 0.000 0.000 0.302 x4
Zn: 0.000 0.279 0.136 x8
Zn: 0.000 0.362 0.331 x8
Zn: 0.000 0.500 0.000 x2
Au: 0.000 0.200 0.500 x4

***

# Tb2Zn7Au
Simulated powder diffractogram, Cu Kα, 1.54184 Å. Input: DFT lattice parameters and positions (PBE).

Main lines, most intense first (2θ from 10° to 80°):
d [Å], Rel. int.
2.575, 100
2.730, 53
2.065, 45
1.647, 28
1.930, 24
1.270, 21
1.410, 17
1.460, 17
1.544, 12
3.863, 11

Atomic structure:
abc: 4.131 4.131 10.917
angles: 90.00 90.00 90.00
Space group P-4m2 (No. 115)
Asymmetric unit:
Tb: 0.000 0.500 0.244 x2
Zn: 0.000 0.000 0.000 x1
Zn: 0.000 0.500 0.645 x2
Zn: 0.000 0.500 0.867 x2
Zn: 0.500 0.500 0.000 x1
Zn: 0.500 0.500 0.500 x1
Au: 0.000 0.000 0.500 x1

***

# Tb6ZnAu
Simulated powder diffractogram, Cu Kα, 1.54184 Å. Input: DFT lattice parameters and positions (PBE).

Main lines, most intense first (2θ from 10° to 80°):
d [Å], Rel. int.
2.768, 100
2.525, 45
1.500, 31
1.785, 16
1.655, 14
2.191, 8
1.384, 8
2.261, 7
1.910, 6
1.573, 6

Atomic structure:
abc: 5.049 5.049 17.527
angles: 90.00 90.00 90.00
Space group I4/mmm (No. 139)
Asymmetric unit:
Tb: 0.000 0.000 0.248 x4
Tb: 0.000 0.500 0.104 x8
Zn: 0.000 0.000 0.000 x2
Au: 0.000 0.000 0.500 x2

***

# TbZn2Au2
Simulated powder diffractogram, Cu Kα, 1.54184 Å. Input: DFT lattice parameters and positions (PBE).

Main lines, most intense first (2θ from 10° to 80°):
d [Å], Rel. int.
2.553, 100
2.356, 69
2.150, 55
2.742, 49
3.560, 45
2.115, 39
2.814, 36
2.065, 35
3.175, 31
2.428, 31

Atomic structure:
abc: 7.433 4.300 12.169
angles: 90.00 90.00 90.00
Space group Pnma (No. 62)
Asymmetric unit:
Tb: 0.133 0.250 0.187 x4
Zn: 0.037 0.250 0.440 x4
Zn: 0.204 0.250 0.874 x4
Au: 0.070 0.250 0.671 x4
Au: 0.129 0.750 0.001 x4

***

# TbZn12Au6
Simulated powder diffractogram, Cu Kα, 1.54184 Å. Input: DFT lattice parameters and positions (PBE).

Main lines, most intense first (2θ from 10° to 80°):
d [Å], Rel. int.
2.227, 100
2.011, 88
3.482, 82
3.304, 73
2.039, 73
2.897, 71
2.202, 67
2.612, 49
1.825, 46
1.409, 45

Atomic structure:
abc: 11.5880 11.5880 8.7786
angles: 90.00 90.00 120.00
Space group R-3m (No. 166, hexagonal axes)
Asymmetric unit:
Tb: 0.0000 0.0000 0.0000 x3
Zn: 0.0000 0.3917 0.5000 x18
Zn: 0.0812 0.1625 0.2989 x18
Au: 0.0489 0.5244 0.2368 x18

***

Which formula does entry 4 have?
Tb3Zn9Au2